Entry 1:
HfFeSiTc: theoretical powder XRD pattern (Cu Kα, 1.54184 Å), based on DFT lattice parameters and positions (PBE).
Neutral-atom scattering factors, no anomalous dispersion.

Atomic structure:
Lattice parameters (Å, degrees): 6.097 6.097 6.097 90.00 90.00 90.00
Space group F-43m (No. 216)
Asymmetric unit:
1 Hf 0.000 0.000 0.000 (multiplicity 4)
2 Fe 0.250 0.250 0.250 (multiplicity 4)
3 Si 0.000 0.000 0.500 (multiplicity 4)
4 Tc 0.250 0.250 0.750 (multiplicity 4)

Largest 10 diffraction maxima, sorted by position, 10 to 90 degrees two-theta:
| (hkl) | 2θ (°) | I (rel.) |
| --- | --- | --- |
| 1 1 1 | 25.30 | 44 |
| 2 0 0 | 29.29 | 2 |
| 2 2 0 | 41.91 | 100 |
| 3 1 1 | 49.58 | 22 |
| 2 2 2 | 51.95 | 1 |
| 4 0 0 | 60.76 | 16 |
| 3 3 1 | 66.89 | 9 |
| 4 2 0 | 68.86 | 1 |
| 4 2 2 | 76.54 | 33 |
| 5 1 1 | 82.14 | 7 |


Entry 2:
Er2Pd5Au2: theoretical powder XRD pattern (Cu Kα, 1.54184 Å), based on DFT lattice parameters and positions (PBE).
Neutral-atom scattering factors, no anomalous dispersion.

Atomic structure:
Lattice parameters (Å, degrees): 9.453 14.385 4.912 90.00 90.00 90.00
Space group Imma (No. 74)
Asymmetric unit:
1 Er 0.000 0.127 0.038 (multiplicity 8)
2 Pd 0.250 0.045 0.250 (multiplicity 8)
3 Pd 0.250 0.151 0.750 (multiplicity 8)
4 Pd 0.250 0.250 0.250 (multiplicity 4)
5 Au 0.000 0.000 0.500 (multiplicity 4)
6 Au 0.000 0.250 0.546 (multiplicity 4)

Largest 12 diffraction maxima, sorted by position, 10 to 90 degrees two-theta:
| (hkl) | 2θ (°) | I (rel.) |
| --- | --- | --- |
| 1 4 1 | 32.27 | 100 |
| 0 5 1 | 36.18 | 13 |
| 4 0 0 | 38.08 | 50 |
| 2 5 1 | 41.07 | 43 |
| 2 0 2 | 41.43 | 70 |
| 3 4 1 | 42.34 | 47 |
| 2 8 0 | 54.61 | 11 |
| 5 4 1 | 58.25 | 18 |
| 1 4 3 | 63.16 | 12 |
| 2 8 2 | 67.53 | 11 |
| 6 0 2 | 71.09 | 15 |
| 4 5 3 | 78.45 | 11 |


Entry 3:
ZnNi3H: theoretical powder XRD pattern (Cu Kα, 1.54184 Å), based on DFT lattice parameters and positions (PBE).
Neutral-atom scattering factors, no anomalous dispersion.

Atomic structure:
Lattice parameters (Å, degrees): 8.926 5.111 4.471 90.00 109.96 90.00
Space group Cm (No. 8)
Asymmetric unit:
1 Zn 0.000 0.000 0.000 (multiplicity 2)
2 Zn 0.246 0.500 0.467 (multiplicity 2)
3 Ni 0.244 0.000 0.492 (multiplicity 2)
4 Ni 0.246 0.247 0.981 (multiplicity 4)
5 Ni 0.490 0.000 0.988 (multiplicity 2)
6 Ni 0.497 0.253 0.494 (multiplicity 4)
7 H 0.113 0.500 0.781 (multiplicity 2)
8 H 0.370 0.000 0.249 (multiplicity 2)

Largest 12 diffraction maxima, sorted by position, 10 to 90 degrees two-theta:
| (hkl) | 2θ (°) | I (rel.) |
| --- | --- | --- |
| 4 0 0 | 43.09 | 100 |
| 2 2 -1 | 43.18 | 100 |
| 4 0 -2 | 49.86 | 32 |
| 2 2 1 | 50.42 | 63 |
| 2 2 -3 | 73.58 | 18 |
| 6 2 -1 | 73.69 | 18 |
| 4 0 2 | 73.95 | 9 |
| 0 4 0 | 74.22 | 9 |
| 8 0 -2 | 88.95 | 16 |
| 2 2 3 | 89.62 | 10 |
| 6 2 1 | 89.73 | 11 |
| 4 4 0 | 89.87 | 22 |


Entry 4:
NdSmI: theoretical powder XRD pattern (Cu Kα, 1.54184 Å), based on DFT lattice parameters and positions (PBE).
Neutral-atom scattering factors, no anomalous dispersion.

Atomic structure:
Lattice parameters (Å, degrees): 3.770 6.075 9.250 90.00 90.00 90.00
Space group Pmmn (No. 59, origin choice 2)
Asymmetric unit:
1 Nd 0.250 0.250 0.049 (multiplicity 2)
2 Sm 0.250 0.750 0.292 (multiplicity 2)
3 I 0.250 0.250 0.413 (multiplicity 2)

Largest 12 diffraction maxima, sorted by position, 10 to 90 degrees two-theta:
| (hkl) | 2θ (°) | I (rel.) |
| --- | --- | --- |
| 1 0 1 | 25.52 | 72 |
| 0 0 3 | 28.96 | 17 |
| 0 2 0 | 29.41 | 69 |
| 0 1 3 | 32.57 | 72 |
| 1 1 2 | 34.05 | 100 |
| 1 2 1 | 39.32 | 46 |
| 0 2 3 | 41.75 | 15 |
| 2 0 0 | 48.29 | 18 |
| 0 3 3 | 54.19 | 17 |
| 1 3 2 | 55.19 | 25 |
| 2 2 0 | 57.54 | 37 |
| 2 1 3 | 59.46 | 25 |


Entry 5:
Ba2S3: theoretical powder XRD pattern (Cu Kα, 1.54184 Å), based on DFT lattice parameters and positions (PBE).
Neutral-atom scattering factors, no anomalous dispersion.

Atomic structure:
Lattice parameters (Å, degrees): 6.097 6.097 16.142 90.00 90.00 90.00
Space group I4_1md (No. 109)
Asymmetric unit:
1 Ba 0.000 0.000 0.000 (multiplicity 4)
2 Ba 0.000 0.000 0.405 (multiplicity 4)
3 S 0.000 0.000 0.199 (multiplicity 4)
4 S 0.000 0.327 0.843 (multiplicity 8)

Largest 12 diffraction maxima, sorted by position, 10 to 90 degrees two-theta:
| (hkl) | 2θ (°) | I (rel.) |
| --- | --- | --- |
| 1 0 3 | 22.03 | 37 |
| 1 1 2 | 23.39 | 100 |
| 2 0 0 | 29.30 | 86 |
| 1 0 5 | 31.35 | 94 |
| 2 1 1 | 33.33 | 24 |
| 2 1 3 | 36.96 | 52 |
| 2 2 0 | 41.90 | 39 |
| 2 1 5 | 43.44 | 48 |
| 3 1 2 | 48.55 | 31 |
| 3 0 5 | 53.26 | 18 |
| 4 0 0 | 60.76 | 18 |
| 1 1 10 | 61.32 | 21 |


Entry 6:
Sn3HgTe4: theoretical powder XRD pattern (Cu Kα, 1.54184 Å), based on DFT lattice parameters and positions (PBE).
Neutral-atom scattering factors, no anomalous dispersion.

Atomic structure:
Lattice parameters (Å, degrees): 12.809 6.292 6.308 90.00 90.00 90.00
Space group Pmn2_1 (No. 31)
Asymmetric unit:
1 Sn 0.000 0.250 0.000 (multiplicity 2)
2 Sn 0.250 0.249 0.496 (multiplicity 4)
3 Hg 0.000 0.747 0.520 (multiplicity 2)
4 Te 0.000 0.248 0.491 (multiplicity 2)
5 Te 0.000 0.750 0.008 (multiplicity 2)
6 Te 0.250 0.250 0.987 (multiplicity 4)

Largest 12 diffraction maxima, sorted by position, 10 to 90 degrees two-theta:
| (hkl) | 2θ (°) | I (rel.) |
| --- | --- | --- |
| 4 0 0 | 27.86 | 53 |
| 0 2 0 | 28.33 | 100 |
| 4 2 0 | 40.16 | 79 |
| 0 2 2 | 40.50 | 38 |
| 4 2 2 | 49.87 | 42 |
| 8 2 0 | 65.38 | 19 |
| 4 0 4 | 66.04 | 9 |
| 4 4 0 | 66.19 | 9 |
| 0 4 2 | 66.42 | 9 |
| 8 2 2 | 72.74 | 14 |
| 4 2 4 | 73.38 | 13 |
| 4 4 2 | 73.49 | 13 |


Entry 7:
ErB: theoretical powder XRD pattern (Cu Kα, 1.54184 Å), based on DFT lattice parameters and positions (PBE).
Neutral-atom scattering factors, no anomalous dispersion.

Atomic structure:
Lattice parameters (Å, degrees): 3.510 3.179 6.567 90.00 105.57 90.00
Space group P2_1/m (No. 11)
Asymmetric unit:
1 Er 0.126 0.250 0.252 (multiplicity 2)
2 B 0.475 0.250 0.951 (multiplicity 2)

Largest 12 diffraction maxima, sorted by position, 10 to 90 degrees two-theta:
| (hkl) | 2θ (°) | I (rel.) |
| --- | --- | --- |
| 1 0 -1 | 26.35 | 68 |
| 0 0 2 | 28.22 | 63 |
| 0 1 1 | 31.50 | 100 |
| 1 0 1 | 33.21 | 52 |
| 1 1 0 | 38.88 | 60 |
| 1 0 -3 | 44.04 | 53 |
| 2 0 -1 | 52.07 | 41 |
| 1 1 2 | 53.11 | 23 |
| 2 0 1 | 60.32 | 15 |
| 2 1 0 | 62.18 | 29 |
| 1 2 1 | 68.52 | 13 |
| 2 1 2 | 76.76 | 17 |


Entry 8:
Rb2MgBrCl6: theoretical powder XRD pattern (Cu Kα, 1.54184 Å), based on DFT lattice parameters and positions (PBE).
Neutral-atom scattering factors, no anomalous dispersion.

Atomic structure:
Lattice parameters (Å, degrees): 8.086 8.086 9.094 90.00 90.00 90.00
Space group I4/mmm (No. 139)
Asymmetric unit:
1 Rb 0.000 0.500 0.250 (multiplicity 4)
2 Mg 0.000 0.000 0.000 (multiplicity 2)
3 Br 0.000 0.000 0.500 (multiplicity 2)
4 Cl 0.000 0.000 0.254 (multiplicity 4)
5 Cl 0.218 0.218 0.000 (multiplicity 8)

Largest 12 diffraction maxima, sorted by position, 10 to 90 degrees two-theta:
| (hkl) | 2θ (°) | I (rel.) |
| --- | --- | --- |
| 2 0 0 | 21.99 | 51 |
| 1 1 2 | 25.02 | 71 |
| 2 1 1 | 26.53 | 20 |
| 2 0 2 | 29.57 | 76 |
| 2 2 0 | 31.29 | 100 |
| 0 0 4 | 39.64 | 27 |
| 3 1 2 | 40.47 | 33 |
| 4 0 0 | 44.84 | 31 |
| 4 2 0 | 50.48 | 15 |
| 2 2 4 | 51.35 | 45 |
| 4 2 2 | 54.63 | 16 |
| 4 0 4 | 61.37 | 23 |


Entry 9:
Sn3Cl: theoretical powder XRD pattern (Cu Kα, 1.54184 Å), based on DFT lattice parameters and positions (PBE).
Neutral-atom scattering factors, no anomalous dispersion.

Atomic structure:
Lattice parameters (Å, degrees): 3.290 4.196 8.184 90.00 90.00 90.00
Space group Pmm2 (No. 25)
Asymmetric unit:
1 Sn 0.000 0.000 0.000 (multiplicity 1)
2 Sn 0.000 0.500 0.271 (multiplicity 1)
3 Sn 0.500 0.000 0.499 (multiplicity 1)
4 Cl 0.500 0.500 0.755 (multiplicity 1)

Largest 12 diffraction maxima, sorted by position, 10 to 90 degrees two-theta:
| (hkl) | 2θ (°) | I (rel.) |
| --- | --- | --- |
| 0 0 1 | 10.81 | 23 |
| 1 0 1 | 29.26 | 53 |
| 0 1 2 | 30.51 | 100 |
| 1 1 1 | 36.40 | 73 |
| 0 2 0 | 43.09 | 47 |
| 0 0 4 | 44.27 | 17 |
| 1 1 3 | 48.48 | 21 |
| 1 2 1 | 52.96 | 21 |
| 1 2 3 | 62.58 | 18 |
| 0 2 4 | 63.51 | 16 |
| 2 1 2 | 65.02 | 24 |
| 1 1 5 | 67.73 | 17 |


Entry 10:
ZnH4NCl3: theoretical powder XRD pattern (Cu Kα, 1.54184 Å), based on DFT lattice parameters and positions (PBE).
Neutral-atom scattering factors, no anomalous dispersion.

Atomic structure:
Lattice parameters (Å, degrees): 6.532 8.360 12.700 100.36 94.65 94.52
Space group P1 (No. 1)
Asymmetric unit:
1 Zn 0.000 0.000 0.000 (multiplicity 1)
2 Zn 0.000 0.496 0.489 (multiplicity 1)
3 Zn 0.486 0.799 0.058 (multiplicity 1)
4 Zn 0.498 0.306 0.575 (multiplicity 1)
5 H 0.218 0.909 0.762 (multiplicity 1)
6 H 0.263 0.374 0.271 (multiplicity 1)
7 H 0.312 0.832 0.646 (multiplicity 1)
8 H 0.362 0.287 0.159 (multiplicity 1)
9 H 0.428 0.810 0.768 (multiplicity 1)
10 H 0.446 0.996 0.730 (multiplicity 1)
11 H 0.479 0.279 0.284 (multiplicity 1)
12 H 0.491 0.457 0.234 (multiplicity 1)
13 H 0.749 0.992 0.396 (multiplicity 1)
14 H 0.771 0.403 0.858 (multiplicity 1)
15 H 0.783 0.512 0.985 (multiplicity 1)
16 H 0.831 0.872 0.290 (multiplicity 1)
17 H 0.918 0.584 0.894 (multiplicity 1)
18 H 0.956 0.059 0.343 (multiplicity 1)
19 H 0.975 0.899 0.409 (multiplicity 1)
20 H 0.988 0.415 0.942 (multiplicity 1)
21 N 0.353 0.888 0.726 (multiplicity 1)
22 N 0.401 0.350 0.237 (multiplicity 1)
23 N 0.866 0.479 0.920 (multiplicity 1)
24 N 0.879 0.955 0.360 (multiplicity 1)
25 Cl 0.170 0.375 0.618 (multiplicity 1)
26 Cl 0.170 0.741 0.483 (multiplicity 1)
27 Cl 0.182 0.877 0.127 (multiplicity 1)
28 Cl 0.189 0.235 0.992 (multiplicity 1)
29 Cl 0.416 0.644 0.894 (multiplicity 1)
30 Cl 0.465 0.118 0.420 (multiplicity 1)
31 Cl 0.642 0.214 0.719 (multiplicity 1)
32 Cl 0.667 0.656 0.165 (multiplicity 1)
33 Cl 0.678 0.546 0.550 (multiplicity 1)
34 Cl 0.686 0.048 0.070 (multiplicity 1)
35 Cl 0.931 0.830 0.839 (multiplicity 1)
36 Cl 0.956 0.336 0.324 (multiplicity 1)

Largest 12 diffraction maxima, sorted by position, 10 to 90 degrees two-theta:
| (hkl) | 2θ (°) | I (rel.) |
| --- | --- | --- |
| 0 1 -1 | 11.78 | 100 |
| 0 1 1 | 14.02 | 73 |
| 0 0 2 | 14.25 | 71 |
| 1 -1 1 | 17.81 | 38 |
| 1 1 -1 | 18.33 | 37 |
| 0 1 3 | 25.85 | 56 |
| 1 -1 3 | 26.68 | 31 |
| 1 2 0 | 26.85 | 30 |
| 1 -2 2 | 27.09 | 36 |
| 1 2 -2 | 27.78 | 38 |
| -2 1 1 | 29.39 | 40 |
| 2 0 -2 | 29.83 | 28 |


Entry 11:
DyTiFe11N: theoretical powder XRD pattern (Cu Kα, 1.54184 Å), based on DFT lattice parameters and positions (PBE).
Neutral-atom scattering factors, no anomalous dispersion.

Atomic structure:
Lattice parameters (Å, degrees): 4.797 8.598 8.533 90.00 90.00 90.00
Space group Imm2 (No. 44)
Asymmetric unit:
1 Dy 0.000 0.000 0.000 (multiplicity 2)
2 Ti 0.000 0.000 0.373 (multiplicity 2)
3 Fe 0.000 0.000 0.650 (multiplicity 2)
4 Fe 0.000 0.278 0.510 (multiplicity 4)
5 Fe 0.000 0.359 0.007 (multiplicity 4)
6 Fe 0.000 0.500 0.281 (multiplicity 2)
7 Fe 0.000 0.500 0.730 (multiplicity 2)
8 Fe 0.250 0.248 0.757 (multiplicity 8)
9 N 0.000 0.500 0.506 (multiplicity 2)

Largest 12 diffraction maxima, sorted by position, 10 to 90 degrees two-theta:
| (hkl) | 2θ (°) | I (rel.) |
| --- | --- | --- |
| 1 2 1 | 29.85 | 41 |
| 1 3 0 | 36.52 | 26 |
| 1 0 3 | 36.73 | 24 |
| 2 0 0 | 37.50 | 21 |
| 0 4 0 | 42.03 | 36 |
| 0 0 4 | 42.39 | 100 |
| 1 2 3 | 42.51 | 54 |
| 2 0 2 | 43.23 | 91 |
| 2 2 2 | 48.41 | 26 |
| 0 4 4 | 61.22 | 13 |
| 3 3 2 | 71.06 | 23 |
| 2 6 0 | 77.57 | 22 |


Entry 12:
Pm2Ho5Er3: theoretical powder XRD pattern (Cu Kα, 1.54184 Å), based on DFT lattice parameters and positions (PBE).
Neutral-atom scattering factors, no anomalous dispersion.

Atomic structure:
Lattice parameters (Å, degrees): 7.902 9.376 9.381 85.85 89.96 65.12
Space group P-1 (No. 2)
Asymmetric unit:
1 Pm 0.076 0.149 0.025 (multiplicity 2)
2 Pm 0.325 0.650 0.774 (multiplicity 2)
3 Ho 0.025 0.051 0.673 (multiplicity 2)
4 Ho 0.175 0.351 0.723 (multiplicity 2)
5 Ho 0.275 0.550 0.425 (multiplicity 2)
6 Ho 0.426 0.850 0.474 (multiplicity 2)
7 Ho 0.474 0.950 0.824 (multiplicity 2)
8 Er 0.127 0.250 0.376 (multiplicity 2)
9 Er 0.224 0.449 0.076 (multiplicity 2)
10 Er 0.377 0.750 0.126 (multiplicity 2)

Largest 12 diffraction maxima, sorted by position, 10 to 90 degrees two-theta:
| (hkl) | 2θ (°) | I (rel.) |
| --- | --- | --- |
| 2 2 2 | 30.92 | 100 |
| 0 3 2 | 35.81 | 34 |
| 3 2 -1 | 35.94 | 17 |
| 3 5 1 | 51.59 | 30 |
| 4 1 2 | 51.68 | 6 |
| 3 1 5 | 61.32 | 29 |
| 5 1 -1 | 61.49 | 11 |
| 4 -2 0 | 64.42 | 9 |
| 3 4 7 | 84.16 | 6 |
| 5 7 3 | 84.29 | 9 |
| 3 8 3 | 86.88 | 10 |
| 7 3 1 | 87.17 | 6 |